This entry pairs a crystal structure of Cs5Tc6S8Br7 with its theoretical powder diffractogram. Radiation: Cu Kα X-rays. Structure: a cell relaxed with GGA-PBE.

Most intense lines, 15 to 90 degrees two-theta, most intense first:
22.29 deg, d 3.988, rel. 100
29.31 deg, d 3.047, rel. 94
30.05 deg, d 2.973, rel. 92
19.63 deg, d 4.522, rel. 86
42.47 deg, d 2.128, rel. 73
49.23 deg, d 1.851, rel. 67
48.98 deg, d 1.860, rel. 36
45.72 deg, d 1.985, rel. 24

Crystal structure
```
Cs5Tc6S8Br7
1.0
5.150 2.973 18.906
-5.150 2.973 18.906
0.000 -5.947 18.906
Cs Tc S Br
10 12 16 14
direct
0.082 0.750 0.418
0.170 0.170 0.170
0.250 0.582 0.918
0.330 0.330 0.330
0.418 0.082 0.750
0.582 0.918 0.250
0.670 0.670 0.670
0.750 0.418 0.082
0.830 0.830 0.830
0.918 0.250 0.582
0.036 0.156 0.865
0.135 0.964 0.844
0.156 0.865 0.036
0.344 0.464 0.635
0.365 0.656 0.536
0.464 0.635 0.344
0.536 0.365 0.656
0.635 0.344 0.464
0.656 0.536 0.365
0.844 0.135 0.964
0.865 0.036 0.156
0.964 0.844 0.135
0.013 0.234 0.701
0.052 0.052 0.052
0.201 0.734 0.513
0.234 0.701 0.013
0.266 0.487 0.799
0.299 0.987 0.766
0.448 0.448 0.448
0.487 0.799 0.266
0.513 0.201 0.734
0.552 0.552 0.552
0.701 0.013 0.234
0.734 0.513 0.201
0.766 0.299 0.987
0.799 0.266 0.487
0.948 0.948 0.948
0.987 0.766 0.299
0.091 0.374 0.667
0.126 0.409 0.833
0.167 0.874 0.591
0.250 0.250 0.250
0.333 0.909 0.626
0.374 0.668 0.091
0.409 0.833 0.126
0.591 0.168 0.874
0.626 0.333 0.909
0.667 0.091 0.374
0.750 0.750 0.750
0.833 0.126 0.409
0.874 0.591 0.167
0.909 0.626 0.333
```

This entry pairs a crystal structure of AgPt3 with its theoretical powder diffractogram. Radiation: Cu Kα X-rays. Structure: a cell relaxed with GGA-PBE.

Most intense lines, 15 to 90 degrees two-theta, most intense first:
38.93 deg, d 2.313, rel. 100
45.26 deg, d 2.003, rel. 49
79.30 deg, d 1.208, rel. 38
65.94 deg, d 1.417, rel. 32
83.59 deg, d 1.157, rel. 11
22.19 deg, d 4.007, rel. 4
31.58 deg, d 2.833, rel. 3
50.96 deg, d 1.792, rel. 2

Crystal structure
```
AgPt3
1.0
4.007 0.000 0.000
0.000 4.007 0.000
0.000 0.000 4.007
Ag Pt
1 3
direct
0.000 0.000 0.000
0.000 0.500 0.500
0.500 0.000 0.500
0.500 0.500 0.000
```

This entry pairs a crystal structure of MgTl3VS4 with its theoretical powder diffractogram. Radiation: Cu Kα X-rays. Structure: a cell relaxed with GGA-PBE.

Most intense lines, 15 to 90 degrees two-theta, most intense first:
22.25 deg, d 3.996, rel. 100
30.89 deg, d 2.895, rel. 62
32.42 deg, d 2.762, rel. 58
50.03 deg, d 1.823, rel. 24
39.63 deg, d 2.274, rel. 19
52.17 deg, d 1.753, rel. 18
45.39 deg, d 1.998, rel. 15
50.14 deg, d 1.819, rel. 12

Crystal structure
```
MgTl3VS4
1.0
4.006 -5.533 0.000
4.006 5.533 0.000
-3.596 0.000 5.779
Mg Tl V S
1 3 1 4
direct
0.000 0.000 0.000
0.167 0.167 0.652
0.168 0.654 0.165
0.654 0.168 0.165
0.640 0.640 0.635
0.002 0.687 0.683
0.322 0.322 0.319
0.685 0.685 0.998
0.687 0.002 0.683
```

This entry pairs a crystal structure of K2UBr4O4 with its theoretical powder diffractogram. Radiation: Cu Kα X-rays. Structure: a cell relaxed with GGA-PBE.

Most intense lines, 15 to 90 degrees two-theta, most intense first:
16.59 deg, d 5.343, rel. 100
25.98 deg, d 3.430, rel. 88
26.93 deg, d 3.311, rel. 87
15.03 deg, d 5.895, rel. 72
26.19 deg, d 3.402, rel. 72
27.61 deg, d 3.230, rel. 52
41.88 deg, d 2.157, rel. 45
29.80 deg, d 2.999, rel. 43

Crystal structure
```
K2UBr4O4
1.0
6.994 0.000 0.000
3.298 6.351 0.000
1.871 0.386 7.996
K U Br O
2 1 4 4
direct
0.184 0.213 0.334
0.816 0.787 0.666
0.500 0.500 0.500
0.262 0.886 0.663
0.454 0.724 0.188
0.546 0.276 0.812
0.738 0.114 0.337
0.012 0.424 0.964
0.242 0.490 0.507
0.758 0.510 0.493
0.988 0.576 0.036
```

This entry pairs a crystal structure of UCuSi with its theoretical powder diffractogram. Radiation: Cu Kα X-rays. Structure: a cell relaxed with GGA-PBE.

Most intense lines, 15 to 90 degrees two-theta, most intense first:
34.41 deg, d 2.606, rel. 100
25.51 deg, d 3.492, rel. 44
44.96 deg, d 2.016, rel. 32
57.82 deg, d 1.595, rel. 23
76.10 deg, d 1.251, rel. 21
66.58 deg, d 1.404, rel. 20
53.68 deg, d 1.708, rel. 13
78.19 deg, d 1.222, rel. 10

Crystal structure
```
UCuSi
1.0
4.032 0.000 0.000
-2.016 3.492 0.000
0.000 0.000 3.915
U Cu Si
1 1 1
direct
0.000 0.000 0.000
0.333 0.667 0.500
0.667 0.333 0.500
```

This entry pairs a crystal structure of LaYMn2Si2 with its theoretical powder diffractogram. Radiation: Cu Kα X-rays. Structure: a cell relaxed with GGA-PBE.

Most intense lines, 15 to 90 degrees two-theta, most intense first:
25.19 deg, d 3.535, rel. 100
40.85 deg, d 2.209, rel. 96
34.42 deg, d 2.606, rel. 76
43.43 deg, d 2.084, rel. 69
33.23 deg, d 2.696, rel. 59
56.56 deg, d 1.627, rel. 36
30.33 deg, d 2.947, rel. 36
50.87 deg, d 1.795, rel. 30

Crystal structure
```
LaYMn2Si2
1.0
4.167 0.000 0.000
0.000 4.167 0.000
0.000 0.000 6.677
La Y Mn Si
1 1 2 2
direct
0.000 0.000 0.000
0.500 0.500 0.377
0.000 0.500 0.674
0.500 0.000 0.674
0.000 0.000 0.508
0.500 0.500 0.844
```

This entry pairs a crystal structure of TmH2ClO2 with its theoretical powder diffractogram. Radiation: Cu Kα X-rays. Structure: a cell relaxed with GGA-PBE.

Most intense lines, 15 to 90 degrees two-theta, most intense first:
32.03 deg, d 2.795, rel. 100
19.50 deg, d 4.551, rel. 84
37.37 deg, d 2.406, rel. 57
28.90 deg, d 3.089, rel. 50
47.49 deg, d 1.914, rel. 46
31.42 deg, d 2.847, rel. 41
30.71 deg, d 2.911, rel. 41
51.59 deg, d 1.772, rel. 39

Crystal structure
```
TmH2ClO2
1.0
13.120 0.000 0.000
0.000 3.541 0.000
0.000 0.000 6.320
Tm H Cl O
4 8 4 8
direct
0.049 0.250 0.250
0.451 0.750 0.750
0.549 0.250 0.250
0.951 0.750 0.750
0.116 0.250 0.679
0.149 0.750 0.959
0.351 0.250 0.459
0.384 0.750 0.179
0.616 0.250 0.821
0.649 0.750 0.541
0.851 0.250 0.041
0.884 0.750 0.321
0.204 0.750 0.381
0.296 0.250 0.881
0.704 0.750 0.119
0.796 0.250 0.619
0.045 0.250 0.628
0.077 0.750 0.002
0.423 0.250 0.502
0.455 0.750 0.128
0.545 0.250 0.872
0.577 0.750 0.498
0.923 0.250 0.998
0.955 0.750 0.372
```